Record 1
CoPdPt3: computed X-ray diffraction stick pattern (Cu Ka), based on a structure optimized by DFT (GGA-PBE).
No peak broadening, texture or thermal motion is included.

Principal peaks in the range 2θ = 10–90°, by intensity:
2θ (°)  I (rel.)
40.18  100
46.43  66
39.98  55
39.82  51
46.84  32
68.18  32

Structure:
```
data_CoPdPt3
_cell_length_a 19.6038
_cell_length_b 2.7517
_cell_length_c 5.5607
_cell_angle_alpha 90.00
_cell_angle_beta 98.38
_cell_angle_gamma 90.00
_symmetry_space_group_name_H-M 'C 1 2/m 1'
_symmetry_Int_Tables_number 12
loop_
_symmetry_equiv_pos_as_xyz
'x,y,z'
'-x,-y,-z'
'-x,y,-z'
'x,-y,z'
'x+1/2,y+1/2,z'
'-x+1/2,-y+1/2,-z'
'-x+1/2,y+1/2,-z'
'x+1/2,-y+1/2,z'
loop_
_atom_site_label
_atom_site_type_symbol
_atom_site_fract_x
_atom_site_fract_y
_atom_site_fract_z
_atom_site_occupancy
Co1 Co 0.0985 0.0000 0.0470 1
Pd1 Pd 0.1969 0.5000 0.3442 1
Pt1 Pt 0.0017 0.5000 0.2397 1
Pt2 Pt 0.0996 0.0000 0.5550 1
Pt3 Pt 0.1976 0.5000 0.8565 1
```



Record 2
Co4PdPt3: computed X-ray diffraction stick pattern (Cu Ka), based on a structure optimized by DFT (GGA-PBE).
No peak broadening, texture or thermal motion is included.

Principal peaks in the range 2θ = 10–90°, by intensity:
2θ (°)  I (rel.)
39.95  100
44.01  95
44.18  90
41.96  68
19.77  55
40.16  43

Structure:
```
data_Co4PdPt3
_cell_length_a 17.8059
_cell_length_b 2.6998
_cell_length_c 4.6624
_cell_angle_alpha 90.00
_cell_angle_beta 104.68
_cell_angle_gamma 90.00
_symmetry_space_group_name_H-M 'C 1 2/m 1'
_symmetry_Int_Tables_number 12
loop_
_symmetry_equiv_pos_as_xyz
'x,y,z'
'-x,-y,-z'
'-x,y,-z'
'x,-y,z'
'x+1/2,y+1/2,z'
'-x+1/2,-y+1/2,-z'
'-x+1/2,y+1/2,-z'
'x+1/2,-y+1/2,z'
loop_
_atom_site_label
_atom_site_type_symbol
_atom_site_fract_x
_atom_site_fract_y
_atom_site_fract_z
_atom_site_occupancy
Co1 Co 0.1328 0.0000 0.2986 1
Co2 Co 0.2473 0.5000 0.2819 1
Pd1 Pd 0.0000 0.5000 0.0000 1
Pt1 Pt 0.0000 0.0000 0.5000 1
Pt2 Pt 0.1349 0.5000 0.8014 1
```



Record 3
Co5Pd2Pt2: computed X-ray diffraction stick pattern (Cu Ka), based on a structure optimized by DFT (GGA-PBE).
No peak broadening, texture or thermal motion is included.

Principal peaks in the range 2θ = 10–90°, by intensity:
2θ (°)  I (rel.)
42.97  100
42.06  100
10.48  62
28.34  50
46.29  42
49.86  35

Structure:
```
data_Co5Pd2Pt2
_cell_length_a 8.1408
_cell_length_b 3.6582
_cell_length_c 8.4955
_cell_angle_alpha 90.00
_cell_angle_beta 96.23
_cell_angle_gamma 90.00
_symmetry_space_group_name_H-M 'C 1 2/m 1'
_symmetry_Int_Tables_number 12
loop_
_symmetry_equiv_pos_as_xyz
'x,y,z'
'-x,-y,-z'
'-x,y,-z'
'x,-y,z'
'x+1/2,y+1/2,z'
'-x+1/2,-y+1/2,-z'
'-x+1/2,y+1/2,-z'
'x+1/2,-y+1/2,z'
loop_
_atom_site_label
_atom_site_type_symbol
_atom_site_fract_x
_atom_site_fract_y
_atom_site_fract_z
_atom_site_occupancy
Co1 Co 0.0000 0.0000 0.0000 1
Co2 Co 0.0770 0.5000 0.7920 1
Co3 Co 0.1174 0.0000 0.2870 1
Pd1 Pd 0.1604 0.0000 0.5861 1
Pt1 Pt 0.2056 0.5000 0.1053 1
```



Record 4
CoPd3Pt: computed X-ray diffraction stick pattern (Cu Ka), based on a structure optimized by DFT (GGA-PBE).
No peak broadening, texture or thermal motion is included.

Principal peaks in the range 2θ = 10–90°, by intensity:
2θ (°)  I (rel.)
44.79  100
41.76  72
39.80  50
36.21  41
84.00  22
29.37  20

Structure:
```
data_CoPd3Pt
_cell_length_a 7.0582
_cell_length_b 12.3105
_cell_length_c 4.5297
_cell_angle_alpha 90.00
_cell_angle_beta 129.82
_cell_angle_gamma 90.00
_symmetry_space_group_name_H-M 'C 1 2/c 1'
_symmetry_Int_Tables_number 15
loop_
_symmetry_equiv_pos_as_xyz
'x,y,z'
'-x,-y,-z'
'-x,y,-z+1/2'
'x,-y,z+1/2'
'x+1/2,y+1/2,z'
'-x+1/2,-y+1/2,-z'
'-x+1/2,y+1/2,-z+1/2'
'x+1/2,-y+1/2,z+1/2'
loop_
_atom_site_label
_atom_site_type_symbol
_atom_site_fract_x
_atom_site_fract_y
_atom_site_fract_z
_atom_site_occupancy
Co1 Co 0.0000 0.0593 0.2500 1
Pd1 Pd 0.0000 0.4375 0.2500 1
Pd2 Pd 0.2439 0.1299 0.9940 1
Pt1 Pt 0.2500 0.2500 0.5000 1
```



Record 5
YPuCoPd: computed X-ray diffraction stick pattern (Cu Ka), based on a structure optimized by DFT (GGA-PBE).
No peak broadening, texture or thermal motion is included.

Principal peaks in the range 2θ = 10–90°, by intensity:
2θ (°)  I (rel.)
36.93  100
66.53  35
22.36  21
53.21  17
43.60  12
25.88  12

Structure:
```
data_YPuCoPd
_cell_length_a 6.8852
_cell_length_b 6.8852
_cell_length_c 6.8852
_cell_angle_alpha 90.00
_cell_angle_beta 90.00
_cell_angle_gamma 90.00
_symmetry_space_group_name_H-M 'F -4 3 m'
_symmetry_Int_Tables_number 216
_symmetry_space_group_name_Hall 'F -4 2 3'
loop_
_atom_site_label
_atom_site_type_symbol
_atom_site_fract_x
_atom_site_fract_y
_atom_site_fract_z
_atom_site_occupancy
Y1 Y 0.0000 0.0000 0.0000 1
Pu1 Pu 0.0000 0.0000 0.5000 1
Co1 Co 0.2500 0.2500 0.7500 1
Pd1 Pd 0.2500 0.2500 0.2500 1
```



Record 6
CoPd4Rh: computed X-ray diffraction stick pattern (Cu Ka), based on a structure optimized by DFT (GGA-PBE).
No peak broadening, texture or thermal motion is included.

Principal peaks in the range 2θ = 10–90°, by intensity:
2θ (°)  I (rel.)
43.16  100
42.95  100
40.01  82
42.90  51
43.41  48
37.87  48

Structure:
```
data_CoPd4Rh
_cell_length_a 2.7469
_cell_length_b 7.2295
_cell_length_c 9.3918
_cell_angle_alpha 102.02
_cell_angle_beta 98.36
_cell_angle_gamma 100.93
_symmetry_space_group_name_H-M 'P -1'
_symmetry_Int_Tables_number 2
loop_
_symmetry_equiv_pos_as_xyz
'x,y,z'
'-x,-y,-z'
loop_
_atom_site_label
_atom_site_type_symbol
_atom_site_fract_x
_atom_site_fract_y
_atom_site_fract_z
_atom_site_occupancy
Co1 Co 0.1493 0.4099 0.3879 1
Pd1 Pd 0.1366 0.9012 0.8735 1
Pd2 Pd 0.1986 0.2739 0.6247 1
Pd3 Pd 0.4680 0.5676 0.8691 1
Pd4 Pd 0.4797 0.0826 0.3764 1
Rh1 Rh 0.1960 0.7651 0.1261 1
```



Record 7
Ti5CoPd2Rh2: computed X-ray diffraction stick pattern (Cu Ka), based on a structure optimized by DFT (GGA-PBE).
No peak broadening, texture or thermal motion is included.

Principal peaks in the range 2θ = 10–90°, by intensity:
2θ (°)  I (rel.)
41.23  100
34.31  33
76.70  25
48.31  24
49.31  20
38.51  18

Structure:
```
data_Ti5CoPd2Rh2
_cell_length_a 10.4547
_cell_length_b 10.4547
_cell_length_c 2.9225
_cell_angle_alpha 90.00
_cell_angle_beta 90.00
_cell_angle_gamma 90.00
_symmetry_space_group_name_H-M 'P 4/m b m'
_symmetry_Int_Tables_number 127
_symmetry_space_group_name_Hall '-P 4 2ab'
loop_
_atom_site_label
_atom_site_type_symbol
_atom_site_fract_x
_atom_site_fract_y
_atom_site_fract_z
_atom_site_occupancy
Ti1 Ti 0.0000 0.5000 0.0000 1
Ti2 Ti 0.1212 0.1566 0.0000 1
Co1 Co 0.0000 0.0000 0.5000 1
Pd1 Pd 0.1556 0.6556 0.5000 1
Rh1 Rh 0.1437 0.3563 0.5000 1
```



Record 8
Sc4CoPd: computed X-ray diffraction stick pattern (Cu Ka), based on a structure optimized by DFT (GGA-PBE).
No peak broadening, texture or thermal motion is included.

Principal peaks in the range 2θ = 10–90°, by intensity:
2θ (°)  I (rel.)
40.10  100
24.33  95
40.57  50
47.87  29
73.47  22
58.71  15

Structure:
```
data_Sc4CoPd
_cell_length_a 6.2901
_cell_length_b 6.2900
_cell_length_c 6.4332
_cell_angle_alpha 90.00
_cell_angle_beta 90.12
_cell_angle_gamma 90.00
_symmetry_space_group_name_H-M 'C 1 2/m 1'
_symmetry_Int_Tables_number 12
loop_
_symmetry_equiv_pos_as_xyz
'x,y,z'
'-x,-y,-z'
'-x,y,-z'
'x,-y,z'
'x+1/2,y+1/2,z'
'-x+1/2,-y+1/2,-z'
'-x+1/2,y+1/2,-z'
'x+1/2,-y+1/2,z'
loop_
_atom_site_label
_atom_site_type_symbol
_atom_site_fract_x
_atom_site_fract_y
_atom_site_fract_z
_atom_site_occupancy
Sc1 Sc 0.2496 0.2502 0.2322 1
Co1 Co 0.0000 0.0000 0.0000 1
Pd1 Pd 0.0000 0.5000 0.5000 1
```



Record 9
Co2PdSe4: computed X-ray diffraction stick pattern (Cu Ka), based on a structure optimized by DFT (GGA-PBE).
No peak broadening, texture or thermal motion is included.

Principal peaks in the range 2θ = 10–90°, by intensity:
2θ (°)  I (rel.)
51.03  100
46.62  58
29.26  58
35.47  55
24.88  42
30.59  35

Structure:
```
data_Co2PdSe4
_cell_length_a 7.1630
_cell_length_b 7.1630
_cell_length_c 10.1117
_cell_angle_alpha 90.00
_cell_angle_beta 90.00
_cell_angle_gamma 90.00
_symmetry_space_group_name_H-M 'I 41/a m d'
_symmetry_Int_Tables_number 141
loop_
_symmetry_equiv_pos_as_xyz
'x,y,z'
'-x,-y,-z'
'-y+1/4,x+3/4,z+1/4'
'y+1/4,-x+3/4,-z+1/4'
'-x+1/2,-y,z+1/2'
'x+1/2,y,-z+1/2'
'y+1/4,-x+1/4,z+3/4'
'-y+1/4,x+1/4,-z+3/4'
'x,-y,-z'
'-x,y,z'
'-y+1/4,-x+1/4,-z+3/4'
'y+1/4,x+1/4,z+3/4'
'-x+1/2,y,-z+1/2'
'x+1/2,-y,z+1/2'
'y+1/4,x+3/4,-z+1/4'
'-y+1/4,-x+3/4,z+1/4'
'x+1/2,y+1/2,z+1/2'
'-x+1/2,-y+1/2,-z+1/2'
'-y+3/4,x+1/4,z+3/4'
'y+3/4,-x+1/4,-z+3/4'
'-x,-y+1/2,z'
'x,y+1/2,-z'
'y+3/4,-x+3/4,z+1/4'
'-y+3/4,x+3/4,-z+1/4'
'x+1/2,-y+1/2,-z+1/2'
'-x+1/2,y+1/2,z+1/2'
'-y+3/4,-x+3/4,-z+1/4'
'y+3/4,x+3/4,z+1/4'
'-x,y+1/2,-z'
'x,-y+1/2,z'
'y+3/4,x+1/4,-z+3/4'
'-y+3/4,-x+1/4,z+3/4'
loop_
_atom_site_label
_atom_site_type_symbol
_atom_site_fract_x
_atom_site_fract_y
_atom_site_fract_z
_atom_site_occupancy
Co1 Co 0.0000 0.0000 0.0000 1
Pd1 Pd 0.0000 0.2500 0.3750 1
Se1 Se 0.0000 0.0307 0.7649 1
```



Record 10
CoPd3Se6: computed X-ray diffraction stick pattern (Cu Ka), based on a structure optimized by DFT (GGA-PBE).
No peak broadening, texture or thermal motion is included.

Principal peaks in the range 2θ = 10–90°, by intensity:
2θ (°)  I (rel.)
38.30  100
45.41  94
26.69  75
38.13  69
20.80  58
29.34  35

Structure:
```
data_CoPd3Se6
_cell_length_a 10.5683
_cell_length_b 10.5683
_cell_length_c 12.8104
_cell_angle_alpha 90.00
_cell_angle_beta 90.00
_cell_angle_gamma 120.00
_symmetry_space_group_name_H-M 'R -3'
_symmetry_Int_Tables_number 148
_symmetry_space_group_name_Hall '-R 3'
loop_
_atom_site_label
_atom_site_type_symbol
_atom_site_fract_x
_atom_site_fract_y
_atom_site_fract_z
_atom_site_occupancy
Co1 Co 0.0000 0.0000 0.0000 1
Co2 Co 0.0000 0.0000 0.5000 1
Pd1 Pd 0.0459 0.7879 0.2069 1
Se1 Se 0.0297 0.8226 0.4045 1
Se2 Se 0.0310 0.8422 0.8803 1
```



Record 11
Ta4Co2PdSe12: computed X-ray diffraction stick pattern (Cu Ka), based on a structure optimized by DFT (GGA-PBE).
No peak broadening, texture or thermal motion is included.

Principal peaks in the range 2θ = 10–90°, by intensity:
2θ (°)  I (rel.)
12.37  100
36.49  28
34.59  23
13.23  23
13.36  22
39.42  20

Structure:
```
data_Ta4Co2PdSe12
_cell_length_a 14.3097
_cell_length_b 3.4266
_cell_length_c 19.5158
_cell_angle_alpha 90.00
_cell_angle_beta 110.69
_cell_angle_gamma 90.00
_symmetry_space_group_name_H-M 'C 1 2/m 1'
_symmetry_Int_Tables_number 12
loop_
_symmetry_equiv_pos_as_xyz
'x,y,z'
'-x,-y,-z'
'-x,y,-z'
'x,-y,z'
'x+1/2,y+1/2,z'
'-x+1/2,-y+1/2,-z'
'-x+1/2,y+1/2,-z'
'x+1/2,-y+1/2,z'
loop_
_atom_site_label
_atom_site_type_symbol
_atom_site_fract_x
_atom_site_fract_y
_atom_site_fract_z
_atom_site_occupancy
Ta1 Ta 0.1219 0.0000 0.1512 1
Ta2 Ta 0.2444 0.0000 0.4075 1
Co1 Co 0.2265 0.5000 0.2846 1
Pd1 Pd 0.0000 0.5000 0.0000 1
Se1 Se 0.0254 0.5000 0.8810 1
Se2 Se 0.1055 0.0000 0.2816 1
Se3 Se 0.1303 0.0000 0.6058 1
Se4 Se 0.1365 0.5000 0.4500 1
Se5 Se 0.1813 0.5000 0.0741 1
Se6 Se 0.1981 0.5000 0.7634 1
```



Record 12
Ta2CoPd2Se6: computed X-ray diffraction stick pattern (Cu Ka), based on a structure optimized by DFT (GGA-PBE).
No peak broadening, texture or thermal motion is included.

Principal peaks in the range 2θ = 10–90°, by intensity:
2θ (°)  I (rel.)
38.83  100
41.66  96
32.52  94
16.77  92
39.11  87
51.88  74

Structure:
```
data_Ta2CoPd2Se6
_cell_length_a 6.0566
_cell_length_b 11.0803
_cell_length_c 6.3774
_cell_angle_alpha 90.00
_cell_angle_beta 96.63
_cell_angle_gamma 90.00
_symmetry_space_group_name_H-M 'C 1 2/m 1'
_symmetry_Int_Tables_number 12
loop_
_symmetry_equiv_pos_as_xyz
'x,y,z'
'-x,-y,-z'
'-x,y,-z'
'x,-y,z'
'x+1/2,y+1/2,z'
'-x+1/2,-y+1/2,-z'
'-x+1/2,y+1/2,-z'
'x+1/2,-y+1/2,z'
loop_
_atom_site_label
_atom_site_type_symbol
_atom_site_fract_x
_atom_site_fract_y
_atom_site_fract_z
_atom_site_occupancy
Ta1 Ta 0.0000 0.1335 0.0000 1
Co1 Co 0.0000 0.5000 0.0000 1
Pd1 Pd 0.0000 0.1501 0.5000 1
Se1 Se 0.1656 0.3351 0.2192 1
Se2 Se 0.2282 0.0000 0.2774 1
```



Record 13
V2CoPd2Se6: computed X-ray diffraction stick pattern (Cu Ka), based on a structure optimized by DFT (GGA-PBE).
No peak broadening, texture or thermal motion is included.

Principal peaks in the range 2θ = 10–90°, by intensity:
2θ (°)  I (rel.)
31.85  100
42.32  84
50.05  75
41.11  52
41.48  49
32.72  44

Structure:
```
data_V2CoPd2Se6
_cell_length_a 6.3115
_cell_length_b 10.9677
_cell_length_c 5.8979
_cell_angle_alpha 90.00
_cell_angle_beta 92.21
_cell_angle_gamma 90.00
_symmetry_space_group_name_H-M 'C 1 2/m 1'
_symmetry_Int_Tables_number 12
loop_
_symmetry_equiv_pos_as_xyz
'x,y,z'
'-x,-y,-z'
'-x,y,-z'
'x,-y,z'
'x+1/2,y+1/2,z'
'-x+1/2,-y+1/2,-z'
'-x+1/2,y+1/2,-z'
'x+1/2,-y+1/2,z'
loop_
_atom_site_label
_atom_site_type_symbol
_atom_site_fract_x
_atom_site_fract_y
_atom_site_fract_z
_atom_site_occupancy
V1 V 0.0000 0.1525 0.0000 1
Co1 Co 0.0000 0.5000 0.0000 1
Pd1 Pd 0.0000 0.1714 0.5000 1
Se1 Se 0.1602 0.3379 0.2239 1
Se2 Se 0.1930 0.0000 0.2490 1
```